The following is a simulated X-ray diffraction stick pattern of LiGa4W2O12. It was derived from a DFT-relaxed cell (GGA+U, Alexandria), using Cu Kα (λ = 1.5418 Å).
Lines closer than 0.1° are merged.

Structural model:
```
data_LiGa4W2O12
_chemical_formula_sum 'Li1 Ga4 W2 O12'
_cell_length_a 4.687
_cell_length_b 9.159
_cell_length_c 4.694
_cell_angle_alpha 90.00
_cell_angle_beta 91.28
_cell_angle_gamma 90.00
_space_group_name_H-M_alt 'P 1 2 1'
_space_group_IT_number 3
_space_group_name_Hall 'P 2y'
loop_
_atom_site_label
_atom_site_fract_x
_atom_site_fract_y
_atom_site_fract_z
_atom_site_occupancy
Li1 0.000 0.000 0.000 1
Ga1 0.000 0.585 0.500 1
Ga2 0.000 0.910 0.500 1
Ga3 0.500 0.091 0.000 1
Ga4 0.500 0.413 0.000 1
W1 0.000 0.254 0.500 1
W2 0.500 0.745 0.000 1
O1 0.193 0.079 0.701 1
O2 0.198 0.421 0.697 1
O3 0.200 0.751 0.699 1
O4 0.297 0.249 0.202 1
O5 0.303 0.910 0.189 1
O6 0.306 0.593 0.195 1
```

Top 10 peaks for 2θ = 10–90°, most intense first:
hkl 1 3 0, 2θ 35.07, I = 100; hkl 1 0 -1, 2θ 26.58, I = 67; hkl 1 0 1, 2θ 27.19, I = 64; hkl 1 3 -2, 2θ 52.62, I = 44; hkl 1 1 0, 2θ 21.29, I = 44; hkl 2 3 1, 2θ 53.32, I = 42; hkl 0 0 2, 2θ 38.39, I = 29; hkl 3 3 0, 2θ 67.29, I = 26; hkl 0 2 0, 2θ 19.38, I = 16; hkl 2 0 2, 2θ 56.10, I = 14